(1)
Calculated powder diffraction line list
Compound: Tb2Pr5Th2
Radiation: Cu Kα X-rays
Structure: the GGA-PBE geometry in Alexandria
Neutral-atom scattering factors, no anomalous dispersion.

Atomic structure:
a b c (Å): 6.316 6.356 8.121
angles (deg): 82.92 75.01 80.17
Space group P-1 (No. 2)
Symmetry-distinct sites (fractional):
Tb 0.222 0.447 0.108 x2
Pr 0.000 0.000 0.000 x1
Pr 0.116 0.228 0.550 x2
Pr 0.447 0.884 0.230 x2
Th 0.338 0.659 0.668 x2

Peak list (12 most intense, 2θ from 10° to 90°, by angle)
index	Position (°2θ)	intensity
2 1 1	29.96	100
1 0 -2	30.11	33
1 2 -1	34.53	23
2 -1 0	34.84	22
1 1 3	34.93	22
2 3 2	49.79	16
3 1 -1	50.01	16
3 3 0	59.07	10
4 0 1	59.45	14
1 3 4	59.55	10
-3 1 2	59.63	9
4 2 2	62.25	12

---

(2)
Calculated powder diffraction line list
Compound: Tb5PrTmTh2
Radiation: Cu Kα X-rays
Structure: the GGA-PBE geometry in Alexandria
Neutral-atom scattering factors, no anomalous dispersion.

Atomic structure:
a b c (Å): 8.907 8.907 15.260
angles (deg): 90.00 90.00 90.00
Space group I4/mcm (No. 140)
Symmetry-distinct sites (fractional):
Tb 0.000 0.000 0.000 x4
Tb 0.208 0.292 0.137 x16
Pr 0.000 0.000 0.250 x4
Tm 0.000 0.500 0.250 x4
Th 0.119 0.381 0.500 x8

Peak list (12 most intense, 2θ from 10° to 90°, by angle)
index	Position (°2θ)	intensity
2 2 0	28.34	53
2 1 3	28.46	74
2 0 4	30.86	100
3 1 0	31.77	18
3 1 2	33.93	20
3 2 1	36.86	29
2 1 5	37.11	21
4 0 2	42.27	29
0 0 8	47.68	15
4 2 4	51.79	22
2 2 8	56.40	13
4 4 8	78.77	18

---

(3)
Calculated powder diffraction line list
Compound: Tb2PrTm4Th
Radiation: Cu Kα X-rays
Structure: the GGA-PBE geometry in Alexandria
Neutral-atom scattering factors, no anomalous dispersion.

Atomic structure:
a b c (Å): 5.057 5.069 9.858
angles (deg): 90.00 90.00 90.00
Space group Pmmm (No. 47)
Symmetry-distinct sites (fractional):
Tb 0.000 0.000 0.000 x1
Tb 0.500 0.500 0.500 x1
Pr 0.000 0.000 0.500 x1
Tm 0.000 0.500 0.245 x2
Tm 0.500 0.000 0.245 x2
Th 0.500 0.500 0.000 x1

Peak list (12 most intense, 2θ from 10° to 90°, by angle)
index	Position (°2θ)	intensity
1 1 2	30.87	100
2 0 0	35.46	35
0 0 4	36.46	16
2 2 0	51.02	12
2 0 4	51.77	24
1 3 2	60.77	15
3 1 2	60.89	15
1 1 6	62.16	14
2 2 4	64.32	12
3 3 2	83.31	6
1 3 6	84.44	6
3 1 6	84.54	6

---

(4)
Calculated powder diffraction line list
Compound: Tb2PrTmTh
Radiation: Cu Kα X-rays
Structure: the GGA-PBE geometry in Alexandria
Neutral-atom scattering factors, no anomalous dispersion.

Atomic structure:
a b c (Å): 3.540 5.668 8.704
angles (deg): 90.00 90.00 90.00
Space group Pmmm (No. 47)
Symmetry-distinct sites (fractional):
Tb 0.000 0.000 0.178 x2
Pr 0.000 0.500 0.500 x1
Tm 0.500 0.500 0.000 x1
Th 0.500 0.000 0.500 x1

Peak list (12 most intense, 2θ from 10° to 90°, by angle)
index	Position (°2θ)	intensity
0 1 0	15.64	11
0 0 2	20.41	13
0 1 2	25.81	11
0 0 3	30.82	11
0 2 0	31.53	100
1 0 2	32.61	14
0 1 3	34.74	19
1 1 2	36.35	17
1 2 2	46.02	11
1 2 3	51.95	9
1 3 1	56.18	16
1 1 5	61.58	14

---

(5)
Calculated powder diffraction line list
Compound: Tb12Pr6Tl
Radiation: Cu Kα X-rays
Structure: the GGA-PBE geometry in Alexandria
Neutral-atom scattering factors, no anomalous dispersion.

Atomic structure:
a b c (Å): 12.0420 12.0420 15.0711
angles (deg): 90.00 90.00 120.00
Space group R-3 (No. 148, hexagonal axes)
Symmetry-distinct sites (fractional):
Tb 0.0010 0.8281 0.3138 x18
Tb 0.0458 0.1941 0.9163 x18
Pr 0.0127 0.5909 0.1836 x18
Tl 0.0000 0.0000 0.5000 x3

Peak list (12 most intense, 2θ from 10° to 90°, by angle)
index	Position (°2θ)	intensity
3 -1 1	23.33	17
0 1 5	30.88	45
0 3 3	31.29	33
4 -3 1	31.49	100
2 1 4	32.88	72
3 1 2	33.18	31
4 -2 3	34.74	21
3 2 4	44.88	15
3 -2 8	53.94	10
2 5 0	54.97	20
1 5 5	57.97	12
2 2 9	63.55	11

---

(6)
Calculated powder diffraction line list
Compound: Tb5PrTl3
Radiation: Cu Kα X-rays
Structure: the GGA-PBE geometry in Alexandria
Neutral-atom scattering factors, no anomalous dispersion.

Atomic structure:
a b c (Å): 9.4620 9.4620 6.7875
angles (deg): 90.00 90.00 120.00
Space group P6_3/mcm (No. 193)
Symmetry-distinct sites (fractional):
Tb 0.0000 0.3297 0.2500 x6
Tb 0.3333 0.6667 0.0000 x4
Pr 0.0000 0.0000 0.0000 x2
Tl 0.0000 0.3402 0.7500 x6

Peak list (12 most intense, 2θ from 10° to 90°, by angle)
index	Position (°2θ)	intensity
0 0 2	26.26	9
1 1 2	32.47	87
3 0 0	32.79	100
3 0 2	42.48	16
2 2 2	46.81	32
0 0 4	54.04	8
4 1 2	58.33	33
3 3 0	58.53	19
3 0 4	64.67	29
6 0 0	68.73	12
5 2 2	78.09	14
3 3 4	83.73	14

---

(7)
Calculated powder diffraction line list
Compound: Tb4PrTl
Radiation: Cu Kα X-rays
Structure: the GGA-PBE geometry in Alexandria
Neutral-atom scattering factors, no anomalous dispersion.

Atomic structure:
a b c (Å): 3.633 3.633 14.345
angles (deg): 90.00 90.00 90.00
Space group P4/mmm (No. 123)
Symmetry-distinct sites (fractional):
Tb 0.000 0.000 0.147 x2
Tb 0.500 0.500 0.320 x2
Pr 0.000 0.000 0.500 x1
Tl 0.500 0.500 0.000 x1

Peak list (12 most intense, 2θ from 10° to 90°, by angle)
index	Position (°2θ)	intensity
1 0 3	30.91	100
1 1 0	34.93	39
1 0 4	35.16	6
0 0 6	37.62	12
2 0 0	50.23	14
1 1 6	52.27	19
2 1 3	60.16	30
1 0 9	63.77	7
2 0 6	64.42	10
3 0 3	82.11	6
3 1 0	84.31	6
2 1 9	85.31	7

---

(8)
Calculated powder diffraction line list
Compound: Tb3Pr2Tl
Radiation: Cu Kα X-rays
Structure: the GGA-PBE geometry in Alexandria
Neutral-atom scattering factors, no anomalous dispersion.

Atomic structure:
a b c (Å): 4.920 15.454 4.971
angles (deg): 90.00 90.00 90.00
Space group Cmmm (No. 65)
Symmetry-distinct sites (fractional):
Tb 0.000 0.000 0.000 x2
Tb 0.000 0.336 0.000 x4
Pr 0.000 0.162 0.500 x4
Tl 0.000 0.500 0.500 x2

Peak list (12 most intense, 2θ from 10° to 90°, by angle)
index	Position (°2θ)	intensity
1 3 1	30.91	100
0 6 0	34.83	18
0 0 2	36.14	17
2 0 0	36.53	16
0 6 2	51.06	12
2 6 0	51.36	12
2 0 2	52.33	12
1 9 1	60.02	15
1 3 3	61.75	14
3 3 1	62.28	14
2 6 2	64.41	12
1 9 3	83.40	6

---

(9)
Calculated powder diffraction line list
Compound: TbPr5Tl6
Radiation: Cu Kα X-rays
Structure: the GGA-PBE geometry in Alexandria
Neutral-atom scattering factors, no anomalous dispersion.

Atomic structure:
a b c (Å): 5.554 16.676 7.765
angles (deg): 90.00 90.00 90.00
Space group Cmmm (No. 65)
Symmetry-distinct sites (fractional):
Tb 0.000 0.000 0.000 x2
Pr 0.000 0.000 0.500 x2
Pr 0.000 0.331 0.500 x4
Pr 0.000 0.334 0.000 x4
Tl 0.000 0.164 0.245 x8
Tl 0.000 0.500 0.246 x4

Peak list (12 most intense, 2θ from 10° to 90°, by angle)
index	Position (°2θ)	intensity
2 0 0	32.22	51
1 3 2	32.42	100
2 6 0	46.21	19
0 0 4	46.80	9
3 3 2	57.58	39
2 0 4	57.96	19
4 0 0	67.42	6
2 6 4	67.88	12
4 6 0	76.71	8
3 9 2	76.82	8
1 3 6	77.68	8
4 0 4	86.07	6

---

(10)
Calculated powder diffraction line list
Compound: TbPrTl
Radiation: Cu Kα X-rays
Structure: the GGA-PBE geometry in Alexandria
Neutral-atom scattering factors, no anomalous dispersion.

Atomic structure:
a b c (Å): 5.5367 5.5367 6.8210
angles (deg): 90.00 90.00 120.00
Space group P6_3/mmc (No. 194)
Symmetry-distinct sites (fractional):
Tb 0.3333 0.6667 0.2500 x2
Pr 0.0000 0.0000 0.0000 x2
Tl 0.3333 0.6667 0.7500 x2

Peak list (12 most intense, 2θ from 10° to 90°, by angle)
index	Position (°2θ)	intensity
0 0 2	26.13	11
1 0 2	32.21	83
1 1 0	32.34	100
1 1 2	42.04	18
2 0 2	46.29	31
0 0 4	53.76	8
3 0 0	57.62	52
1 1 4	64.14	28
3 0 2	64.37	5
2 2 0	67.69	12
3 1 2	76.95	14
3 0 4	82.76	14

---

(11)
Calculated powder diffraction line list
Compound: Tb3Pr2Tl2
Radiation: Cu Kα X-rays
Structure: the GGA-PBE geometry in Alexandria
Neutral-atom scattering factors, no anomalous dispersion.

Atomic structure:
a b c (Å): 9.545 5.520 8.824
angles (deg): 90.00 111.23 90.00
Space group C2/m (No. 12)
Symmetry-distinct sites (fractional):
Tb 0.000 0.000 0.000 x2
Tb 0.154 0.000 0.460 x4
Pr 0.077 0.500 0.731 x4
Tl 0.217 0.500 0.152 x4

Peak list (12 most intense, 2θ from 10° to 90°, by angle)
index	Position (°2θ)	intensity
2 0 0	19.93	6
1 1 2	31.54	100
0 2 0	32.47	100
4 0 1	45.90	36
3 1 2	46.72	7
2 0 4	55.58	16
1 3 2	57.34	37
6 0 -2	57.92	19
4 0 -6	65.86	10
6 2 -2	68.03	10
4 2 -6	75.32	9
5 3 -4	76.82	11

---

(12)
Calculated powder diffraction line list
Compound: Tb3Pr2Tl4
Radiation: Cu Kα X-rays
Structure: the GGA-PBE geometry in Alexandria
Neutral-atom scattering factors, no anomalous dispersion.

Atomic structure:
a b c (Å): 9.272 5.361 10.795
angles (deg): 90.00 90.13 90.00
Space group C2/m (No. 12)
Symmetry-distinct sites (fractional):
Tb 0.000 0.000 0.000 x2
Tb 0.166 0.500 0.425 x4
Pr 0.167 0.500 0.778 x4
Tl 0.000 0.000 0.351 x4
Tl 0.166 0.500 0.102 x4

Peak list (12 most intense, 2θ from 10° to 90°, by angle)
index	Position (°2θ)	intensity
1 1 3	31.46	100
3 1 0	33.45	90
2 2 -3	46.55	23
4 0 3	46.66	11
1 1 -6	54.70	13
1 3 3	58.53	23
4 2 3	58.61	12
6 0 0	59.80	17
4 0 -6	65.67	11
6 2 0	70.29	11
5 3 -3	78.97	10
8 0 -3	88.59	6

---

Copy entry 1 word for word.
Calculated powder diffraction line list
Compound: Tb2Pr5Th2
Radiation: Cu Kα X-rays
Structure: the GGA-PBE geometry in Alexandria
Neutral-atom scattering factors, no anomalous dispersion.

Atomic structure:
a b c (Å): 6.316 6.356 8.121
angles (deg): 82.92 75.01 80.17
Space group P-1 (No. 2)
Symmetry-distinct sites (fractional):
Tb 0.222 0.447 0.108 x2
Pr 0.000 0.000 0.000 x1
Pr 0.116 0.228 0.550 x2
Pr 0.447 0.884 0.230 x2
Th 0.338 0.659 0.668 x2

Peak list (12 most intense, 2θ from 10° to 90°, by angle)
index	Position (°2θ)	intensity
2 1 1	29.96	100
1 0 -2	30.11	33
1 2 -1	34.53	23
2 -1 0	34.84	22
1 1 3	34.93	22
2 3 2	49.79	16
3 1 -1	50.01	16
3 3 0	59.07	10
4 0 1	59.45	14
1 3 4	59.55	10
-3 1 2	59.63	9
4 2 2	62.25	12